# 1
For GaBr2, DFT lattice parameters and positions (GGA-PBE) gives the computed X-ray powder pattern in this record (a wavelength of 1.5418 Å).
Intensities are scaled so that the largest is 100.

Principal peaks in the range 2θ from 15° to 90°, by intensity:
- 3.066 Å, 29.12 deg, I 100, hkl 1 3 1
- 2.566 Å, 34.97 deg, I 95, hkl 2 1 3
- 3.481 Å, 25.59 deg, I 92, hkl 2 1 1
- 3.035 Å, 29.43 deg, I 89, hkl 2 1 2
- 3.755 Å, 23.69 deg, I 86, hkl 0 2 2
- 2.768 Å, 32.34 deg, I 77, hkl 1 2 3
- 4.084 Å, 21.76 deg, I 72, hkl 1 1 2
- 2.111 Å, 42.83 deg, I 70, hkl 2 3 3
- 3.330 Å, 26.77 deg, I 69, hkl 0 3 1
- 3.388 Å, 26.30 deg, I 66, hkl 0 1 3

Structural model:
a = 7.8577 Å, b = 10.5096 Å, c = 10.7372 Å
α = 90.00°, β = 90.00°, γ = 90.00°
Space group Pnna (No. 52)
One atom of each set of equivalent atoms:
Ga 0.0984 0.2500 0.2500 x4
Ga 0.2500 0.0000 0.6867 x4
Br 0.0056 0.0344 0.8108 x8
Br 0.1797 0.6803 0.9366 x8

# 2
For Rb2GaHgBr6, DFT lattice parameters and positions (GGA-PBE) gives the computed X-ray powder pattern in this record (a wavelength of 1.5418 Å).
Intensities are scaled so that the largest is 100.

Principal peaks in the range 2θ from 15° to 90°, by intensity:
- 2.773 Å, 32.28 deg, I 100, hkl 4 0 0
- 1.961 Å, 46.30 deg, I 71, hkl 4 4 0
- 3.922 Å, 22.67 deg, I 45, hkl 2 2 0
- 5.546 Å, 15.98 deg, I 44, hkl 2 0 0
- 3.202 Å, 27.86 deg, I 34, hkl 2 2 2
- 1.240 Å, 76.87 deg, I 30, hkl 8 4 0
- 1.601 Å, 57.57 deg, I 24, hkl 4 4 4
- 2.480 Å, 36.22 deg, I 23, hkl 4 2 0
- 1.132 Å, 85.84 deg, I 23, hkl 8 4 4
- 2.264 Å, 39.81 deg, I 20, hkl 4 2 2

Structural model:
a = 11.0922 Å, b = 11.0922 Å, c = 11.0922 Å
α = 90.00°, β = 90.00°, γ = 90.00°
Space group Fm-3m (No. 225)
One atom of each set of equivalent atoms:
Rb 0.2500 0.2500 0.2500 x8
Ga 0.0000 0.0000 0.0000 x4
Hg 0.0000 0.0000 0.5000 x4
Br 0.0000 0.0000 0.2369 x24

# 3
For InGaBr4, DFT lattice parameters and positions (GGA-PBE) gives the computed X-ray powder pattern in this record (a wavelength of 1.5418 Å).
Intensities are scaled so that the largest is 100.

Principal peaks in the range 2θ from 15° to 90°, by intensity:
- 3.299 Å, 27.03 deg, I 100, hkl 2 0 2
- 2.941 Å, 30.39 deg, I 97, hkl 2 2 -1
- 2.433 Å, 36.95 deg, I 95, hkl 1 3 -1
- 3.203 Å, 27.85 deg, I 93, hkl 1 1 3
- 3.220 Å, 27.70 deg, I 89, hkl 1 2 -2
- 2.867 Å, 31.20 deg, I 78, hkl 3 1 -1
- 4.988 Å, 17.78 deg, I 77, hkl 1 1 1
- 3.259 Å, 27.37 deg, I 75, hkl 2 1 -3
- 2.849 Å, 31.39 deg, I 73, hkl 0 2 3
- 3.041 Å, 29.37 deg, I 73, hkl 1 1 -4

Structural model:
a = 9.2895 Å, b = 7.6205 Å, c = 13.3360 Å
α = 90.00°, β = 105.10°, γ = 90.00°
Space group P2/c (No. 13)
One atom of each set of equivalent atoms:
In 0.0000 0.0915 0.2500 x2
In 0.5000 0.3796 0.7500 x2
Ga 0.2843 0.2149 0.0467 x4
Br 0.1643 0.4236 0.1296 x4
Br 0.2026 0.2516 0.8632 x4
Br 0.2147 0.0686 0.5891 x4
Br 0.4572 0.2670 0.3976 x4

# 4
For KGaBr4, DFT lattice parameters and positions (GGA-PBE) gives the computed X-ray powder pattern in this record (a wavelength of 1.5418 Å).
Intensities are scaled so that the largest is 100.

Principal peaks in the range 2θ from 15° to 90°, by intensity:
- 3.328 Å, 26.79 deg, I 100, hkl 5 1 1
- 3.223 Å, 27.68 deg, I 89, hkl 2 3 2
- 5.799 Å, 15.28 deg, I 74, hkl 2 1 1
- 2.996 Å, 29.82 deg, I 38, hkl 5 0 2
- 1.918 Å, 47.39 deg, I 38, hkl 5 1 4
- 3.478 Å, 25.61 deg, I 33, hkl 2 4 1
- 1.974 Å, 45.97 deg, I 31, hkl 3 8 1
- 4.721 Å, 18.80 deg, I 31, hkl 1 3 1
- 3.190 Å, 27.97 deg, I 28, hkl 5 2 0
- 3.357 Å, 26.55 deg, I 25, hkl 0 4 2

Structural model:
a = 23.0009 Å, b = 23.0009 Å, c = 9.0911 Å
α = 90.00°, β = 90.00°, γ = 120.00°
Space group R3c (No. 161, hexagonal axes)
One atom of each set of equivalent atoms:
K 0.1354 0.4603 0.0000 x18
Ga 0.1396 0.4639 0.4898 x18
Br 0.0147 0.2772 0.0040 x18
Br 0.0833 0.2277 0.6621 x18
Br 0.1252 0.0328 0.9389 x18
Br 0.1556 0.3859 0.3501 x18

# 5
For K2NaGaBr6, DFT lattice parameters and positions (GGA-PBE) gives the computed X-ray powder pattern in this record (a wavelength of 1.5418 Å).
Intensities are scaled so that the largest is 100.

Principal peaks in the range 2θ from 15° to 90°, by intensity:
- 2.734 Å, 32.76 deg, I 100, hkl 4 0 0
- 3.156 Å, 28.27 deg, I 100, hkl 2 2 2
- 1.933 Å, 47.01 deg, I 67, hkl 4 4 0
- 5.467 Å, 16.21 deg, I 43, hkl 2 0 0
- 1.648 Å, 55.77 deg, I 37, hkl 6 2 2
- 1.222 Å, 78.19 deg, I 26, hkl 8 4 0
- 1.578 Å, 58.48 deg, I 22, hkl 4 4 4
- 2.445 Å, 36.76 deg, I 20, hkl 4 2 0
- 1.116 Å, 87.39 deg, I 19, hkl 8 4 4
- 1.254 Å, 75.85 deg, I 13, hkl 6 6 2

Structural model:
a = 10.9342 Å, b = 10.9342 Å, c = 10.9342 Å
α = 90.00°, β = 90.00°, γ = 90.00°
Space group Fm-3m (No. 225)
One atom of each set of equivalent atoms:
K 0.2500 0.2500 0.2500 x8
Na 0.0000 0.0000 0.0000 x4
Ga 0.0000 0.0000 0.5000 x4
Br 0.0000 0.0000 0.2654 x24

# 6
For KRb2GaBr6, DFT lattice parameters and positions (GGA-PBE) gives the computed X-ray powder pattern in this record (a wavelength of 1.5418 Å).
Intensities are scaled so that the largest is 100.

Principal peaks in the range 2θ from 15° to 90°, by intensity:
- 2.857 Å, 31.31 deg, I 100, hkl 4 0 0
- 3.299 Å, 27.02 deg, I 97, hkl 2 2 2
- 2.020 Å, 44.86 deg, I 66, hkl 4 4 0
- 1.723 Å, 53.16 deg, I 34, hkl 6 2 2
- 1.278 Å, 74.21 deg, I 22, hkl 8 4 0
- 1.650 Å, 55.72 deg, I 21, hkl 4 4 4
- 2.200 Å, 41.03 deg, I 18, hkl 5 1 1
- 4.041 Å, 22.00 deg, I 17, hkl 2 2 0
- 1.167 Å, 82.73 deg, I 15, hkl 8 4 4
- 5.715 Å, 15.51 deg, I 14, hkl 2 0 0

Structural model:
a = 11.4294 Å, b = 11.4294 Å, c = 11.4294 Å
α = 90.00°, β = 90.00°, γ = 90.00°
Space group Fm-3m (No. 225)
One atom of each set of equivalent atoms:
K 0.0000 0.0000 0.0000 x4
Rb 0.2500 0.2500 0.2500 x8
Ga 0.0000 0.0000 0.5000 x4
Br 0.0000 0.0000 0.2752 x24

# 7
For K2TlGaBr6, DFT lattice parameters and positions (GGA-PBE) gives the computed X-ray powder pattern in this record (a wavelength of 1.5418 Å).
Intensities are scaled so that the largest is 100.

Principal peaks in the range 2θ from 15° to 90°, by intensity:
- 5.695 Å, 15.56 deg, I 100, hkl 2 0 0
- 2.847 Å, 31.42 deg, I 96, hkl 4 0 0
- 2.013 Å, 45.02 deg, I 64, hkl 4 4 0
- 2.547 Å, 35.24 deg, I 47, hkl 4 2 0
- 4.027 Å, 22.07 deg, I 29, hkl 2 2 0
- 2.613 Å, 34.32 deg, I 27, hkl 3 3 1
- 1.898 Å, 47.92 deg, I 25, hkl 6 0 0
- 1.273 Å, 74.51 deg, I 23, hkl 8 4 0
- 3.288 Å, 27.12 deg, I 23, hkl 2 2 2
- 1.644 Å, 55.93 deg, I 21, hkl 4 4 4

Structural model:
a = 11.3900 Å, b = 11.3900 Å, c = 11.3900 Å
α = 90.00°, β = 90.00°, γ = 90.00°
Space group Fm-3m (No. 225)
One atom of each set of equivalent atoms:
K 0.2500 0.2500 0.2500 x8
Tl 0.0000 0.0000 0.0000 x4
Ga 0.0000 0.0000 0.5000 x4
Br 0.0000 0.0000 0.2740 x24